1.
Starting from a cell relaxed with GGA-PBE, the XRD peak list of Ga4Sn2Pb was computed for Cu Kα (weighted mean of Kα1 and Kα2).
No peak broadening, texture or thermal motion is included.

Structure:
Cell lengths 9.1202, 9.1202, 6.4553 Å; angles 92.24, 92.24, 37.94 degrees
Atoms (fractional coordinates):
Ga: 0.1498 0.7012 0.6805
Ga: 0.2741 0.4128 0.9807
Ga: 0.2988 0.8502 0.8195
Ga: 0.4128 0.2741 0.4807
Ga: 0.5872 0.7259 0.5193
Ga: 0.7012 0.1498 0.1805
Ga: 0.7259 0.5872 0.0193
Ga: 0.8502 0.2988 0.3195
Sn: 0.1102 0.2785 0.6769
Sn: 0.2785 0.1102 0.1769
Sn: 0.7215 0.8898 0.8231
Sn: 0.8898 0.7215 0.3231
Pb: 0.2662 0.7338 0.2500
Pb: 0.7338 0.2662 0.7500

The 10 most intense peaks (2θ from 10° to 90°), in order of rising 2θ:
27.7°, rel. 30
30.0°, rel. 31
31.9°, rel. 78
32.6°, rel. 41
33.6°, rel. 100
34.0°, rel. 76
34.7°, rel. 66
35.8°, rel. 45
42.4°, rel. 42
45.4°, rel. 31

2.
Starting from a cell relaxed with GGA-PBE, the XRD peak list of Be6Cu5Au was computed for Cu Kα (weighted mean of Kα1 and Kα2).
No peak broadening, texture or thermal motion is included.

Structure:
Cell lengths 3.8385, 5.5873, 6.0934 Å; angles 90.00, 108.02, 90.00 degrees
Atoms (fractional coordinates):
Be: 0.0000 0.2322 0.0000
Be: 0.0000 0.7678 0.0000
Be: 0.3292 0.2385 0.6568
Be: 0.3292 0.7615 0.6568
Be: 0.6708 0.2385 0.3432
Be: 0.6708 0.7615 0.3432
Cu: 0.1653 0.0000 0.3315
Cu: 0.1700 0.5000 0.3416
Cu: 0.5000 0.0000 0.0000
Cu: 0.8300 0.5000 0.6584
Cu: 0.8347 0.0000 0.6685
Au: 0.5000 0.5000 0.0000

The 10 most intense peaks (2θ from 10° to 90°), in order of rising 2θ:
29.3°, rel. 34
32.0°, rel. 100
32.8°, rel. 94
33.0°, rel. 92
46.5°, rel. 90
46.7°, rel. 90
47.0°, rel. 44
47.4°, rel. 43
58.1°, rel. 35
58.3°, rel. 35